[1]
# DyI3O9
Simulated XRD peak list, Cu Kα. Input: a DFT-relaxed cell (GGA-PBE, the Materials Project).
No peak broadening, texture or thermal motion is included.

Principal peaks in the range 10 to 80 degrees two-theta, by intensity:
| 2theta | Rel. int. | hkl |
| --- | --- | --- |
| 25.81 | 100 | 1 1 -4 |
| 26.61 | 84 | 2 1 0 |
| 22.77 | 40 | 0 1 3 |
| 29.96 | 34 | 1 0 4 |
| 45.32 | 25 | 4 0 0 |
| 30.91 | 23 | 1 2 -1 |

Crystal structure
Unit cell a=8.808 b=6.130 c=16.741 alpha=90.00 beta=114.76 gamma=90.00
Space group P2_1/c (No. 14)
Asymmetric unit:
Dy1 0.147 0.213 0.105 [4 per cell]
I1 0.073 0.188 0.358 [4 per cell]
I2 0.355 0.644 0.520 [4 per cell]
I3 0.418 0.594 0.802 [4 per cell]
O1 0.060 0.054 0.687 [4 per cell]
O2 0.096 0.605 0.670 [4 per cell]
O3 0.115 0.128 0.472 [4 per cell]
O4 0.126 0.624 0.485 [4 per cell]
O5 0.340 0.583 0.888 [4 per cell]
O6 0.344 0.177 0.256 [4 per cell]
O7 0.354 0.071 0.941 [4 per cell]
O8 0.363 0.011 0.634 [4 per cell]
O9 0.391 0.028 0.117 [4 per cell]

***

[2]
# KCN
Simulated XRD peak list, Cu Kα. Input: a DFT-relaxed cell (GGA-PBE, the Materials Project).
No peak broadening, texture or thermal motion is included.

Principal peaks in the range 10 to 80 degrees two-theta, by intensity:
| 2theta | Rel. int. | hkl |
| --- | --- | --- |
| 26.81 | 100 | 0 0 2 |
| 32.72 | 76 | 1 2 1 |
| 30.07 | 66 | 1 -1 1 |
| 29.46 | 66 | -1 1 1 |
| 33.67 | 57 | 2 1 0 |
| 38.99 | 26 | 2 1 2 |

Crystal structure
Unit cell a=5.545 b=5.734 c=6.829 alpha=78.60 beta=80.49 gamma=73.29
Space group P1 (No. 1)
Asymmetric unit:
K1 0.000 0.000 0.000 [1 per cell]
K2 0.068 0.621 0.524 [1 per cell]
K3 0.584 0.653 0.033 [1 per cell]
K4 0.654 0.266 0.574 [1 per cell]
C1 0.123 0.423 0.103 [1 per cell]
C2 0.235 0.041 0.568 [1 per cell]
C3 0.336 0.206 0.179 [1 per cell]
C4 0.371 0.047 0.357 [1 per cell]
N1 0.259 0.412 0.918 [1 per cell]
N2 0.440 0.854 0.623 [1 per cell]
N3 0.477 0.206 0.988 [1 per cell]
N4 0.577 0.845 0.417 [1 per cell]

***

[3]
# CeSe2
Simulated XRD peak list, Cu Kα. Input: a DFT-relaxed cell (GGA-PBE, the Materials Project).
No peak broadening, texture or thermal motion is included.

Principal peaks in the range 10 to 80 degrees two-theta, by intensity:
| 2theta | Rel. int. | hkl |
| --- | --- | --- |
| 36.27 | 100 | 1 7 1 |
| 31.29 | 91 | 1 5 1 |
| 25.46 | 77 | 1 1 1 |
| 44.50 | 68 | 1 1 3 |
| 33.63 | 53 | 0 6 2 |
| 27.53 | 48 | 1 3 1 |

Crystal structure
Unit cell a=4.081 b=24.289 c=7.080 alpha=90.00 beta=90.00 gamma=90.00
Space group Fmm2 (No. 42)
Asymmetric unit:
Ce1 0.000 0.000 0.000 [4 per cell]
Se1 0.000 0.070 0.333 [8 per cell]

***

[4]
# Ca4Zr3TaO12
Simulated XRD peak list, Cu Kα. Input: a DFT-relaxed cell (GGA-PBE, the Materials Project).
No peak broadening, texture or thermal motion is included.

Principal peaks in the range 10 to 80 degrees two-theta, by intensity:
| 2theta | Rel. int. | hkl |
| --- | --- | --- |
| 22.02 | 100 | 1 1 0 |
| 31.25 | 78 | 1 -1 2 |
| 31.43 | 75 | -1 1 2 |
| 44.88 | 42 | 2 -2 0 |
| 30.84 | 38 | 0 2 0 |
| 31.79 | 35 | 2 0 0 |

Crystal structure
Unit cell a=5.630 b=5.800 c=8.065 alpha=90.46 beta=90.04 gamma=90.11
Space group P-1 (No. 2)
Asymmetric unit:
Ca1 0.010 0.449 0.248 [2 per cell]
Ca2 0.488 0.947 0.248 [2 per cell]
Zr1 0.000 0.000 0.000 [1 per cell]
Zr2 0.000 0.000 0.500 [1 per cell]
Zr3 0.500 0.500 0.500 [1 per cell]
Ta1 0.500 0.500 0.000 [1 per cell]
O1 0.107 0.961 0.751 [2 per cell]
O2 0.193 0.695 0.443 [2 per cell]
O3 0.207 0.697 0.051 [2 per cell]
O4 0.307 0.197 0.444 [2 per cell]
O5 0.307 0.212 0.053 [2 per cell]
O6 0.400 0.464 0.758 [2 per cell]

***

[5]
# HoHfRu2
Simulated XRD peak list, Cu Kα. Input: a DFT-relaxed cell (GGA-PBE, the Materials Project).
No peak broadening, texture or thermal motion is included.

Principal peaks in the range 10 to 80 degrees two-theta, by intensity:
| 2theta | Rel. int. | hkl |
| --- | --- | --- |
| 38.45 | 100 | 2 2 0 |
| 69.55 | 35 | 4 2 2 |
| 55.51 | 17 | 4 0 0 |
| 26.93 | 7 | 2 0 0 |
| 62.75 | 3 | 4 2 0 |
| 47.57 | 2 | 2 2 2 |

Crystal structure
Unit cell a=6.622 b=6.622 c=6.622 alpha=90.00 beta=90.00 gamma=90.00
Space group Fm-3m (No. 225)
Asymmetric unit:
Ho1 0.000 0.000 0.000 [4 per cell]
Hf1 0.000 0.000 0.500 [4 per cell]
Ru1 0.250 0.250 0.250 [8 per cell]

***

[6]
# NaLaHfNbO6
Simulated XRD peak list, Cu Kα. Input: a DFT-relaxed cell (GGA-PBE, the Materials Project).
No peak broadening, texture or thermal motion is included.

Principal peaks in the range 10 to 80 degrees two-theta, by intensity:
| 2theta | Rel. int. | hkl |
| --- | --- | --- |
| 30.98 | 100 | 2 2 0 |
| 55.10 | 40 | 4 2 2 |
| 44.38 | 32 | 4 0 0 |
| 18.82 | 26 | 1 1 1 |
| 64.56 | 20 | 4 4 0 |
| 73.33 | 17 | 6 2 0 |

Crystal structure
Unit cell a=8.165 b=8.165 c=8.165 alpha=90.00 beta=90.00 gamma=90.00
Space group F-43m (No. 216)
Asymmetric unit:
Na1 0.000 0.000 0.000 [4 per cell]
La1 0.000 0.000 0.500 [4 per cell]
Hf1 0.250 0.250 0.750 [4 per cell]
Nb1 0.250 0.250 0.250 [4 per cell]
O1 0.002 0.250 0.250 [24 per cell]

***

[7]
# CeBS3
Simulated XRD peak list, Cu Kα. Input: a DFT-relaxed cell (GGA-PBE, the Materials Project).
No peak broadening, texture or thermal motion is included.

Principal peaks in the range 10 to 80 degrees two-theta, by intensity:
| 2theta | Rel. int. | hkl |
| --- | --- | --- |
| 25.26 | 100 | 2 0 1 |
| 21.24 | 84 | 1 1 1 |
| 33.59 | 78 | 1 2 1 |
| 18.78 | 65 | 1 1 0 |
| 19.75 | 63 | 0 0 2 |
| 35.47 | 63 | 1 1 3 |

Crystal structure
Unit cell a=7.666 b=6.001 c=8.991 alpha=90.00 beta=90.00 gamma=90.00
Space group Pna2_1 (No. 33)
Asymmetric unit:
Ce1 0.116 0.070 0.000 [4 per cell]
B1 0.154 0.595 0.829 [4 per cell]
S1 0.007 0.591 0.986 [4 per cell]
S2 0.177 0.835 0.706 [4 per cell]
S3 0.196 0.863 0.299 [4 per cell]